Structure and calculated X-ray powder pattern of H6S3I (a structure optimized by DFT (PBE); copper Kα).

Peak list (12 most intense, 2θ = 10–80°, by angle)
2theta  intensity
12.37  68
21.51  19
24.89  100
25.34  40
30.98  48
33.13  14
35.82  30
40.14  22
43.84  19
47.81  13
51.06  12
51.31  11

Atomic structure:
```
H6S3I
1.0
7.1544 4.1306 1.2218
-7.1544 4.1306 1.2218
0.0000 -8.2612 1.2218
H S I
6 3 1
Direct
0.1042 0.4479 0.4479
0.1894 0.7475 0.7475
0.4479 0.1042 0.4479
0.4479 0.4479 0.1042
0.7475 0.1894 0.7475
0.7475 0.7475 0.1894
0.3842 0.3842 0.8845
0.3842 0.8845 0.3842
0.8845 0.3842 0.3842
0.5225 0.5225 0.5225
```